(1)
Simulated X-ray powder pattern of UVNO6 for CuKα, from a cell relaxed with GGA+U.
Peak positions follow from Bragg's law for the DFT cell and can differ from measured ones.

Top 10 peaks for 10 to 90 degrees two-theta, sorted by position:
(hkl)	2theta	intensity
1 0 0	12.8	100.0
0 2 0	21.0	17.4
1 2 0	24.7	25.4
2 0 0	25.7	13.8
0 2 2	27.3	11.6
1 1 -3	28.2	46.7
1 2 -2	28.3	10.6
2 1 -3	33.7	15.8
0 3 3	41.5	11.4
1 3 3	45.6	13.6

a b c (Å): 7.150 8.462 10.568
angles (deg): 90.00 104.34 90.00
Space group P2_1/c (No. 14)
Asymmetric unit:
U: 0.014 0.013 0.322
V: 0.111 0.643 0.556
N: 0.458 0.231 0.138
O: 0.032 0.061 0.108
O: 0.044 0.650 0.995
O: 0.078 0.709 0.718
O: 0.241 0.028 0.736
O: 0.264 0.073 0.378
O: 0.339 0.630 0.564

=====

(2)
Simulated X-ray powder pattern of Li9Mn2Co5O16 for CuKα, from a cell relaxed with GGA+U.
Peak positions follow from Bragg's law for the DFT cell and can differ from measured ones.

Top 10 peaks for 10 to 90 degrees two-theta, sorted by position:
(hkl)	2theta	intensity
0 1 2	18.3	100.0
1 2 0	34.3	20.4
1 -2 0	36.0	13.2
0 3 -2	36.9	10.5
0 2 4	37.1	8.2
1 3 2	41.1	34.5
-1 3 2	43.8	27.6
0 2 -4	45.1	24.4
2 0 0	61.4	8.8
0 6 4	61.8	8.2

a b c (Å): 3.026 9.822 10.115
angles (deg): 76.88 88.42 86.70
Space group P1 (No. 1)
Asymmetric unit:
Li: 0.000 0.000 0.000
Li: 0.000 0.002 0.496
Li: 0.000 0.500 0.241
Li: 0.000 0.502 0.755
Li: 0.496 0.751 0.120
Li: 0.498 0.750 0.625
Li: 0.500 0.500 0.999
Li: 0.502 0.250 0.373
Li: 0.505 0.250 0.876
Mn: 0.498 0.000 0.750
Mn: 0.506 0.499 0.498
Co: 0.001 0.250 0.624
Co: 0.001 0.261 0.120
Co: 0.003 0.753 0.371
Co: 0.501 0.004 0.247
Co: 0.993 0.739 0.878
O: 0.005 0.639 0.044
O: 0.012 0.877 0.195
O: 0.028 0.126 0.800
O: 0.036 0.629 0.549
O: 0.469 0.126 0.072
O: 0.469 0.127 0.571
O: 0.474 0.635 0.817
O: 0.487 0.881 0.425
O: 0.520 0.365 0.181
O: 0.521 0.626 0.318
O: 0.525 0.873 0.926
O: 0.531 0.372 0.678
O: 0.974 0.373 0.448
O: 0.974 0.870 0.703
O: 0.984 0.131 0.294
O: 0.998 0.361 0.953

=====

(3)
Simulated X-ray powder pattern of Li3Mn4B4O12 for CuKα, from a cell relaxed with GGA+U.
Peak positions follow from Bragg's law for the DFT cell and can differ from measured ones.

Top 10 peaks for 10 to 90 degrees two-theta, sorted by position:
(hkl)	2theta	intensity
0 1 2	20.1	100.0
1 1 0	20.7	26.8
0 2 0	21.9	52.4
1 0 -2	22.7	79.0
0 0 4	33.9	68.7
2 -2 0	34.2	98.2
0 3 2	37.5	28.2
1 3 0	39.7	27.4
0 2 -4	40.6	39.5
2 -4 4	61.2	28.7

a b c (Å): 5.905 8.285 10.573
angles (deg): 90.37 90.66 102.00
Space group P-1 (No. 2)
Asymmetric unit:
Li: 0.038 0.226 0.420
Li: 0.065 0.232 0.920
Li: 0.458 0.277 0.329
Mn: 0.173 0.919 0.341
Mn: 0.194 0.934 0.837
Mn: 0.329 0.580 0.404
Mn: 0.338 0.586 0.910
B: 0.155 0.393 0.159
B: 0.163 0.413 0.664
B: 0.323 0.089 0.092
B: 0.336 0.094 0.582
O: 0.014 0.684 0.411
O: 0.043 0.690 0.910
O: 0.141 0.985 0.154
O: 0.157 0.399 0.793
O: 0.158 0.985 0.644
O: 0.175 0.375 0.288
O: 0.314 0.123 0.454
O: 0.317 0.115 0.966
O: 0.338 0.477 0.088
O: 0.344 0.519 0.602
O: 0.472 0.823 0.351
O: 0.490 0.822 0.834

=====

(4)
Simulated X-ray powder pattern of Li9Mn2Co5O16 for CuKα, from a cell relaxed with GGA+U.
Peak positions follow from Bragg's law for the DFT cell and can differ from measured ones.

Top 10 peaks for 10 to 90 degrees two-theta, sorted by position:
(hkl)	2theta	intensity
0 0 2	18.1	100.0
1 -2 0	35.5	28.0
0 4 -2	36.2	11.3
-1 2 2	42.7	28.9
1 2 2	42.9	28.5
0 4 -4	43.9	24.8
1 2 -4	47.3	8.3
0 4 4	61.9	7.6
2 0 0	62.4	8.0
1 2 -6	62.5	7.3

a b c (Å): 2.977 10.117 10.283
angles (deg): 107.93 90.12 90.10
Space group P-1 (No. 2)
Asymmetric unit:
Li: 0.000 0.000 0.000
Li: 0.005 0.240 0.240
Li: 0.015 0.246 0.751
Li: 0.492 0.506 0.756
Li: 0.499 0.003 0.766
Mn: 0.000 0.500 0.000
Mn: 0.000 0.500 0.500
Co: 0.000 0.000 0.500
Co: 0.490 0.754 0.499
Co: 0.498 0.767 0.995
O: 0.003 0.139 0.883
O: 0.003 0.376 0.110
O: 0.008 0.123 0.386
O: 0.009 0.377 0.612
O: 0.480 0.620 0.610
O: 0.496 0.872 0.385
O: 0.497 0.865 0.877
O: 0.500 0.391 0.892